1.
Zr5Sc5Ga6: simulated X-ray diffraction stick pattern (CuKα), based on a PBE-relaxed structure.

Cell and atoms:
```
Zr5Sc5Ga6
1.0
5.8501 0.0000 0.0000
0.0000 6.9588 4.0466
0.0000 -6.9588 4.0466
Zr Sc Ga
5 5 6
Direct
0.0000 0.0000 0.0000 Zr
0.0000 0.2367 0.4726 Zr
0.0000 0.4726 0.2367 Zr
0.5000 0.0012 0.2391 Zr
0.5000 0.2391 0.0012 Zr
0.2500 0.5718 0.9060 Sc
0.2500 0.9060 0.5718 Sc
0.5000 0.4785 0.4785 Sc
0.7500 0.5718 0.9060 Sc
0.7500 0.9060 0.5718 Sc
0.0000 0.2386 0.8384 Ga
0.0000 0.6386 0.6386 Ga
0.0000 0.8384 0.2386 Ga
0.5000 0.2380 0.6371 Ga
0.5000 0.6371 0.2380 Ga
0.5000 0.8429 0.8429 Ga
```

Most intense lines, 5° ≤ 2θ ≤ 70°, in order of falling intensity:
2theta, I (rel.)
37.4, 100
38.0, 60
37.3, 48
30.6, 41
58.9, 26
34.0, 21
38.6, 21
33.2, 14
58.9, 12
33.8, 10

***

2.
BaNa23Tl6: simulated X-ray diffraction stick pattern (CuKα), based on a PBE-relaxed structure.

Cell and atoms:
```
BaNa23Tl6
1.0
0.0000 7.9177 7.9177
7.9177 0.0000 7.9177
7.9177 7.9177 0.0000
Ba Na Tl
1 23 6
Direct
0.0000 0.0000 0.0000 Ba
0.0000 0.0000 0.5000 Na
0.0000 0.5000 0.0000 Na
0.0000 0.5000 0.5000 Na
0.1348 0.1348 0.1348 Na
0.1348 0.1348 0.5955 Na
0.1348 0.5955 0.1348 Na
0.1412 0.6196 0.6196 Na
0.3804 0.3804 0.3804 Na
0.3804 0.3804 0.8588 Na
0.3804 0.8588 0.3804 Na
0.4045 0.8652 0.8652 Na
0.5000 0.0000 0.0000 Na
0.5000 0.0000 0.5000 Na
0.5000 0.5000 0.0000 Na
0.5000 0.5000 0.5000 Na
0.5955 0.1348 0.1348 Na
0.6196 0.1412 0.6196 Na
0.6196 0.6196 0.1412 Na
0.6196 0.6196 0.6196 Na
0.8588 0.3804 0.3804 Na
0.8652 0.4045 0.8652 Na
0.8652 0.8652 0.4045 Na
0.8652 0.8652 0.8652 Na
0.2439 0.2439 0.7561 Tl
0.2439 0.7561 0.2439 Tl
0.2439 0.7561 0.7561 Tl
0.7561 0.2439 0.2439 Tl
0.7561 0.2439 0.7561 Tl
0.7561 0.7561 0.2439 Tl
```

Most intense lines, 5° ≤ 2θ ≤ 70°, in order of falling intensity:
2theta, I (rel.)
32.0, 100
19.4, 50
22.5, 42
11.2, 40
57.0, 36
37.7, 29
25.1, 27
51.6, 19
45.8, 18
34.0, 15

***

3.
PmPa4P5: simulated X-ray diffraction stick pattern (CuKα), based on a PBE-relaxed structure.

Cell and atoms:
```
PmPa4P5
1.0
6.6234 -1.9946 0.0000
6.6234 1.9946 0.0000
-4.8380 0.0000 8.5318
Pm Pa P
1 4 5
Direct
0.0000 0.0000 0.0000 Pm
0.2008 0.2008 0.7957 Pa
0.4023 0.4023 0.6011 Pa
0.5977 0.5977 0.3989 Pa
0.7992 0.7992 0.2043 Pa
0.0000 0.0000 0.5000 P
0.2009 0.2009 0.3050 P
0.3942 0.3942 0.1018 P
0.6058 0.6058 0.8982 P
0.7991 0.7991 0.6950 P
```

Most intense lines, 5° ≤ 2θ ≤ 70°, in order of falling intensity:
2theta, I (rel.)
27.3, 100
31.7, 95
45.4, 35
45.5, 35
53.9, 29
53.8, 21
56.5, 19
66.2, 12
56.3, 6
10.4, 2

***

4.
NdSm2Ho2Tm: simulated X-ray diffraction stick pattern (CuKα), based on a PBE-relaxed structure.

Cell and atoms:
```
NdSm2Ho2Tm
1.0
6.0933 0.0000 0.0000
0.0000 18.2988 0.0000
0.0000 0.0000 3.5478
Nd Sm Ho Tm
2 4 4 2
Direct
0.0000 0.0000 0.0000 Nd
0.5000 0.5000 0.5000 Nd
0.1641 0.3436 0.5000 Sm
0.3359 0.8436 0.0000 Sm
0.6641 0.1564 0.0000 Sm
0.8359 0.6564 0.5000 Sm
0.1636 0.1569 0.5000 Ho
0.3364 0.6569 0.0000 Ho
0.6636 0.3431 0.0000 Ho
0.8364 0.8431 0.5000 Ho
0.0000 0.5000 0.0000 Tm
0.5000 0.0000 0.5000 Tm
```

Most intense lines, 5° ≤ 2θ ≤ 70°, in order of falling intensity:
2theta, I (rel.)
29.3, 100
29.5, 97
35.2, 89
30.8, 84
38.3, 67
60.7, 65
29.7, 51
51.9, 45
35.4, 41
30.9, 39

***

5.
Rb2ErCl5: simulated X-ray diffraction stick pattern (CuKα), based on a PBE-relaxed structure.

Cell and atoms:
```
Rb2ErCl5
1.0
9.6689 0.0000 0.0000
0.0000 7.3879 0.0000
0.0000 0.0000 14.8917
Rb Er Cl
8 4 20
Direct
0.0252 0.2500 0.2133 Rb
0.1615 0.7500 0.4152 Rb
0.3385 0.2500 0.9152 Rb
0.4748 0.7500 0.7133 Rb
0.5252 0.2500 0.2867 Rb
0.6615 0.7500 0.0848 Rb
0.8385 0.2500 0.5848 Rb
0.9748 0.7500 0.7867 Rb
0.1843 0.7500 0.0609 Er
0.3157 0.2500 0.5609 Er
0.6843 0.7500 0.4391 Er
0.8157 0.2500 0.9391 Er
0.0000 0.0000 0.0000 Cl
0.0000 0.5000 0.0000 Cl
0.0376 0.7500 0.2056 Cl
0.1554 0.5057 0.6104 Cl
0.1554 0.9943 0.6104 Cl
0.2233 0.2500 0.3945 Cl
0.2767 0.7500 0.8945 Cl
0.3446 0.0057 0.1104 Cl
0.3446 0.4943 0.1104 Cl
0.4624 0.2500 0.7056 Cl
0.5000 0.0000 0.5000 Cl
0.5000 0.5000 0.5000 Cl
0.5376 0.7500 0.2944 Cl
0.6554 0.5057 0.8896 Cl
0.6554 0.9943 0.8896 Cl
0.7233 0.2500 0.1055 Cl
0.7767 0.7500 0.6055 Cl
0.8446 0.0057 0.3896 Cl
0.8446 0.4943 0.3896 Cl
0.9624 0.2500 0.7944 Cl
```

Most intense lines, 5° ≤ 2θ ≤ 70°, in order of falling intensity:
2theta, I (rel.)
21.9, 100
21.6, 95
16.2, 68
32.8, 65
24.1, 57
35.5, 46
48.6, 42
31.1, 41
25.1, 40
11.9, 40

***

6.
Tl3NiCl4: simulated X-ray diffraction stick pattern (CuKα), based on a PBE-relaxed structure.

Cell and atoms:
```
Tl3NiCl4
1.0
-3.8486 3.8486 3.8486
3.8486 -3.8486 3.8486
3.8486 3.8486 -3.8486
Tl Ni Cl
3 1 4
Direct
0.0000 0.5000 0.5000 Tl
0.5000 0.0000 0.5000 Tl
0.5000 0.5000 0.0000 Tl
0.0000 0.0000 0.0000 Ni
0.0000 0.0000 0.6439 Cl
0.0000 0.6439 0.0000 Cl
0.3561 0.3561 0.3561 Cl
0.6439 0.0000 0.0000 Cl
```

Most intense lines, 5° ≤ 2θ ≤ 70°, in order of falling intensity:
2theta, I (rel.)
32.9, 100
23.1, 76
53.2, 47
58.8, 32
40.6, 29
28.4, 18
47.2, 14
16.3, 11
36.9, 11
69.0, 10

***

7.
TlPd14Pt: simulated X-ray diffraction stick pattern (CuKα), based on a PBE-relaxed structure.

Cell and atoms:
```
TlPd14Pt
1.0
9.2360 0.0000 0.0000
0.0000 2.8316 4.8407
0.0000 -2.8316 4.8407
Tl Pd Pt
1 14 1
Direct
0.0000 0.0000 0.0000 Tl
0.0000 0.9998 0.5008 Pd
0.0000 0.5008 0.9998 Pd
0.2503 0.3316 0.3316 Pd
0.2528 0.3337 0.8297 Pd
0.2528 0.8297 0.3337 Pd
0.2543 0.8305 0.8305 Pd
0.5000 0.1623 0.1623 Pd
0.5000 0.1624 0.6612 Pd
0.5000 0.6612 0.1624 Pd
0.5000 0.6617 0.6617 Pd
0.7457 0.8305 0.8305 Pd
0.7472 0.3337 0.8297 Pd
0.7472 0.8297 0.3337 Pd
0.7497 0.3316 0.3316 Pd
0.0000 0.4995 0.4995 Pt
```

Most intense lines, 5° ≤ 2θ ≤ 70°, in order of falling intensity:
2theta, I (rel.)
41.8, 100
39.0, 55
38.1, 51
42.2, 44
38.4, 28
47.5, 27
66.7, 22
47.8, 15
63.1, 12
66.0, 11

***

8.
NaGe4Pd5: simulated X-ray diffraction stick pattern (CuKα), based on a PBE-relaxed structure.

Cell and atoms:
```
NaGe4Pd5
1.0
7.4931 0.0000 0.0000
0.0000 9.1438 0.0000
0.0000 0.0000 5.4689
Na Ge Pd
2 8 10
Direct
0.2500 0.2500 0.0545 Na
0.7500 0.7500 0.9455 Na
0.0155 0.7500 0.4334 Ge
0.2500 0.5844 0.1074 Ge
0.2500 0.9156 0.1074 Ge
0.4845 0.7500 0.4334 Ge
0.5155 0.2500 0.5666 Ge
0.7500 0.0844 0.8926 Ge
0.7500 0.4156 0.8926 Ge
0.9845 0.2500 0.5666 Ge
0.0423 0.9996 0.7455 Pd
0.0423 0.5004 0.7455 Pd
0.2500 0.7500 0.7442 Pd
0.4577 0.9996 0.7455 Pd
0.4577 0.5004 0.7455 Pd
0.5423 0.0004 0.2545 Pd
0.5423 0.4996 0.2545 Pd
0.7500 0.2500 0.2558 Pd
0.9577 0.0004 0.2545 Pd
0.9577 0.4996 0.2545 Pd
```

Most intense lines, 5° ≤ 2θ ≤ 70°, in order of falling intensity:
2theta, I (rel.)
45.6, 100
44.5, 84
15.3, 76
39.4, 47
38.4, 45
28.9, 43
30.9, 36
19.4, 36
46.5, 31
41.6, 29